# 1
Theoretical X-ray powder pattern of K2Rb3I3Br2 for Cu Kα, 1.54184 Å, from a crystal structure in Alexandria, relaxed with PBE.
Neutral-atom scattering factors, no anomalous dispersion.

abc: 5.6256 5.6256 33.4664
angles: 90.00 90.00 90.00
Space group I4/mmm (No. 139)
One atom of each set of equivalent atoms:
K1 0.0000 0.5000 0.2500 (multiplicity 4)
Rb1 0.0000 0.0000 0.0000 (multiplicity 2)
Rb2 0.0000 0.0000 0.3932 (multiplicity 4)
I1 0.0000 0.0000 0.1130 (multiplicity 4)
I2 0.0000 0.0000 0.5000 (multiplicity 2)
Br1 0.0000 0.0000 0.2911 (multiplicity 4)

Peak list (10 most intense, 2θ from 10° to 90°, most intense first)
3.978 Å, 22.35 deg, I = 100, (1 1 0)
2.561 Å, 35.04 deg, I = 70, (1 1 10)
2.813 Å, 31.81 deg, I = 61, (2 0 0)
4.307 Å, 20.62 deg, I = 32, (1 0 5)
4.183 Å, 21.24 deg, I = 31, (0 0 8)
1.571 Å, 58.78 deg, I = 30, (3 1 10)
2.153 Å, 41.96 deg, I = 26, (2 0 10)
2.334 Å, 38.57 deg, I = 26, (2 0 8)
3.347 Å, 26.64 deg, I = 22, (0 0 10)
2.883 Å, 31.02 deg, I = 22, (1 1 8)



# 2
Theoretical X-ray powder pattern of K5SI2Br for Cu Kα, 1.54184 Å, from a crystal structure in Alexandria, relaxed with PBE.
Neutral-atom scattering factors, no anomalous dispersion.

abc: 5.7990 8.2734 17.2533
angles: 90.00 90.00 90.00
Space group Immm (No. 71)
One atom of each set of equivalent atoms:
K1 0.0000 0.0000 0.0000 (multiplicity 2)
K2 0.0000 0.2514 0.3736 (multiplicity 8)
S1 0.0000 0.5000 0.5000 (multiplicity 2)
I1 0.0000 0.0000 0.2098 (multiplicity 4)
Br1 0.0000 0.5000 0.0000 (multiplicity 2)

Peak list (10 most intense, 2θ from 10° to 90°, most intense first)
4.160 Å, 21.36 deg, I = 100, (1 1 2)
2.902 Å, 30.81 deg, I = 56, (2 0 0)
2.986 Å, 29.93 deg, I = 51, (0 2 4)
3.305 Å, 26.98 deg, I = 47, (1 2 1)
2.965 Å, 30.14 deg, I = 47, (1 0 5)
2.080 Å, 43.51 deg, I = 34, (2 2 4)
4.722 Å, 18.79 deg, I = 25, (0 1 3)
4.749 Å, 18.69 deg, I = 24, (1 1 0)
2.393 Å, 37.59 deg, I = 23, (1 3 2)
1.685 Å, 54.46 deg, I = 22, (2 4 0)